Starting from a crystal structure in the Materials Project, relaxed with PBE, the powder diffractogram of K2NaSbCl6 was computed for Cu Ka.
Lines closer than 0.1° are merged.

Top 8 peaks for 2θ from 10° to 80°, sorted by position:
2θ/deg, I_rel, index
14.23, 55, 1 1 1
16.45, 56, 2 0 0
23.34, 61, 2 2 0
27.44, 30, 3 1 1
33.25, 100, 4 0 0
37.31, 27, 4 2 0
41.02, 27, 4 2 2
47.73, 65, 4 4 0

Atomic structure:
Lattice parameters (Å, degrees): 10.7794 10.7794 10.7794 90.00 90.00 90.00
Space group Fm-3m (No. 225)
Asymmetric unit:
K: 0.2500 0.2500 0.2500 x8
Na: 0.0000 0.0000 0.0000 x4
Sb: 0.0000 0.0000 0.5000 x4
Cl: 0.0000 0.0000 0.2540 x24